(1)
Starting from a PBE-relaxed structure, the powder XRD pattern of AcY5In3 was simulated for CuKα.
No peak broadening, texture or thermal motion is included.

Peak list (10 most intense, 2θ from 10° to 80°, in order of rising 2θ)
Position (°2θ)	d/Å	intensity
10.75	8.230	154
32.13	2.786	1000
32.64	2.743	985
46.46	1.955	353
53.27	1.720	81
57.93	1.592	361
58.25	1.584	180
63.89	1.457	275
68.40	1.372	109
77.58	1.231	150

Atomic structure:
abc: 9.5028 9.5028 6.8782
angles: 90.00 90.00 120.00
Space group P6_3/mcm (No. 193)
One atom of each set of equivalent atoms:
Ac 0.0000 0.0000 0.0000 [2 per cell]
Y 0.0000 0.3333 0.2500 [6 per cell]
Y 0.3333 0.6667 0.0000 [4 per cell]
In 0.0000 0.3427 0.7500 [6 per cell]

=====

(2)
Starting from a PBE-relaxed structure, the powder XRD pattern of KSe was simulated for CuKα.
No peak broadening, texture or thermal motion is included.

Peak list (10 most intense, 2θ from 10° to 80°, in order of rising 2θ)
Position (°2θ)	d/Å	intensity
18.36	4.832	427
19.22	4.617	361
26.86	3.320	334
28.35	3.148	576
32.60	2.747	1000
32.73	2.736	395
38.90	2.315	243
39.38	2.288	228
45.00	2.015	236
52.70	1.737	331

Atomic structure:
abc: 9.6643 7.4160 7.4511
angles: 90.00 90.00 90.00
Space group Cmce (No. 64)
One atom of each set of equivalent atoms:
K 0.1789 0.0000 0.0000 [8 per cell]
Se 0.0000 0.1163 0.3833 [8 per cell]

=====

(3)
Starting from a PBE-relaxed structure, the powder XRD pattern of AcPr3Te6 was simulated for CuKα.
No peak broadening, texture or thermal motion is included.

Peak list (10 most intense, 2θ from 10° to 80°, in order of rising 2θ)
Position (°2θ)	d/Å	intensity
20.60	4.311	352
23.98	3.711	327
26.61	3.350	1000
27.29	3.268	536
27.97	3.191	378
29.32	3.046	655
35.95	2.498	638
37.31	2.410	354
39.20	2.298	810
48.42	1.880	327

Atomic structure:
abc: 12.9223 4.5952 13.3273
angles: 90.00 109.19 90.00
Space group P2_1/m (No. 11)
One atom of each set of equivalent atoms:
Ac 0.0477 0.2500 0.1951 [2 per cell]
Pr 0.1564 0.2500 0.5841 [2 per cell]
Pr 0.3199 0.7500 0.9994 [2 per cell]
Pr 0.4387 0.2500 0.3336 [2 per cell]
Te 0.0868 0.7500 0.4036 [2 per cell]
Te 0.1188 0.2500 0.9671 [2 per cell]
Te 0.1951 0.7500 0.7508 [2 per cell]
Te 0.2603 0.7500 0.2253 [2 per cell]
Te 0.3915 0.2500 0.5572 [2 per cell]
Te 0.4858 0.2500 0.1164 [2 per cell]

=====

(4)
Starting from a PBE-relaxed structure, the powder XRD pattern of Sr2SiIrI was simulated for CuKα.
No peak broadening, texture or thermal motion is included.

Peak list (10 most intense, 2θ from 10° to 80°, in order of rising 2θ)
Position (°2θ)	d/Å	intensity
19.55	4.540	224
20.98	4.234	246
24.61	3.618	968
29.84	2.994	1000
35.93	2.499	203
39.05	2.307	585
39.70	2.270	230
42.71	2.117	374
50.45	1.809	459
59.72	1.548	276

Atomic structure:
abc: 5.9879 5.9879 4.5404
angles: 90.00 90.00 90.00
Space group P4/mmm (No. 123)
One atom of each set of equivalent atoms:
Sr 0.0000 0.5000 0.0000 [2 per cell]
Si 0.0000 0.0000 0.5000 [1 per cell]
Ir 0.0000 0.0000 0.0000 [1 per cell]
I 0.5000 0.5000 0.5000 [1 per cell]